Structure and calculated PXRD pattern of Tl2VCoF6 (a crystal structure in Alexandria, relaxed with PBE+U; CuKα).
Peak positions follow from Bragg's law for the DFT cell and can differ from measured ones.

abc: 5.9645 5.9657 8.5332
angles: 90.00 90.00 90.00
Sites, in units of the cell vectors:
Tl: 0.0000 0.0000 0.2494
Tl: 0.0000 0.0000 0.7506
Tl: 0.5000 0.5000 0.2508
Tl: 0.5000 0.5000 0.7492
V: 0.0000 0.5000 0.5000
V: 0.5000 0.0000 0.0000
Co: 0.0000 0.5000 0.0000
Co: 0.5000 0.0000 0.5000
F: 0.0000 0.5000 0.2445
F: 0.0000 0.5000 0.7555
F: 0.2462 0.2515 0.0000
F: 0.2462 0.7485 0.0000
F: 0.2572 0.2436 0.5000
F: 0.2572 0.7564 0.5000
F: 0.5000 0.0000 0.2489
F: 0.5000 0.0000 0.7511
F: 0.7428 0.2436 0.5000
F: 0.7428 0.7564 0.5000
F: 0.7538 0.2515 0.0000
F: 0.7538 0.7485 0.0000

Most intense lines, 2θ from 10° to 90°, sorted by position:
2θ 20.82, I = 15
2θ 21.06, I = 30
2θ 29.79, I = 100
2θ 29.96, I = 49
2θ 36.77, I = 42
2θ 42.37, I = 17
2θ 42.88, I = 33
2θ 52.76, I = 21
2θ 53.08, I = 41
2θ 61.86, I = 21
2θ 70.57, I = 18
2θ 85.51, I = 11